This entry pairs a crystal structure of Li2Al2FeO6 with its theoretical X-ray powder pattern. Radiation: Cu Ka. Structure: the PBE+U geometry in Alexandria.

The 6 most intense peaks (5 to 70 degrees two-theta), by angle:
2θ (°)	I_rel	hkl
18.14	100	0 0 4
37.13	25	2 1 -1
44.30	23	1 2 6
44.45	46	2 1 -5
63.20	12	2 1 11
65.90	18	3 3 1

Crystal structure
```
data_Li2Al2FeO6
_chemical_formula_sum 'Li8 Al8 Fe4 O24'
_cell_length_a 4.9075
_cell_length_b 4.9090
_cell_length_c 19.6420
_cell_angle_alpha 84.93
_cell_angle_beta 87.41
_cell_angle_gamma 60.08
_symmetry_space_group_name_H-M 'P 1'
_symmetry_Int_Tables_number 1
_symmetry_space_group_name_Hall 'P 1'
loop_
_atom_site_label
_atom_site_fract_x
_atom_site_fract_y
_atom_site_fract_z
_atom_site_occupancy
Li1 0.0000 0.0000 0.0000 1
Li2 0.9999 0.2429 0.2504 1
Li3 0.6760 0.1572 0.5002 1
Li4 0.6756 0.4102 0.7504 1
Li5 0.6779 0.9061 0.2500 1
Li6 0.6789 0.6578 0.0005 1
Li7 0.9918 0.4999 0.5002 1
Li8 0.9967 0.7476 0.7500 1
Al1 0.3191 0.9621 0.1252 1
Al2 0.3202 0.2116 0.3754 1
Al3 0.3199 0.4596 0.6251 1
Al4 0.3216 0.7092 0.8751 1
Al5 0.6495 0.5481 0.3753 1
Al6 0.6492 0.7939 0.6251 1
Al7 0.6500 0.2966 0.1252 1
Al8 0.6512 0.0434 0.8750 1
Fe1 0.9899 0.1240 0.6251 1
Fe2 0.9897 0.6267 0.1252 1
Fe3 0.9901 0.8772 0.3753 1
Fe4 0.9917 0.3737 0.8750 1
O1 0.3230 0.1501 0.5743 1
O2 0.3230 0.2668 0.1761 1
O3 0.3227 0.5184 0.4261 1
O4 0.3234 0.6532 0.0743 1
O5 0.3250 0.3997 0.8243 1
O6 0.3249 0.7628 0.6760 1
O7 0.3258 0.9032 0.3245 1
O8 0.3267 0.0126 0.9259 1
O9 0.6615 0.4701 0.5727 1
O10 0.6610 0.8598 0.4278 1
O11 0.6632 0.7197 0.8226 1
O12 0.6637 0.1078 0.6776 1
O13 0.6642 0.6088 0.1777 1
O14 0.6646 0.2193 0.3229 1
O15 0.6648 0.9699 0.0727 1
O16 0.6656 0.3574 0.9275 1
O17 0.9789 0.4477 0.6768 1
O18 0.9800 0.1997 0.4270 1
O19 0.9804 0.3117 0.0735 1
O20 0.9798 0.5644 0.3236 1
O21 0.9803 0.8115 0.5734 1
O22 0.9799 0.9515 0.1769 1
O23 0.9808 0.6972 0.9267 1
O24 0.9821 0.0611 0.8234 1
```

This entry pairs a crystal structure of LiAlFeO4 with its theoretical X-ray powder pattern. Radiation: Cu Ka. Structure: the PBE+U geometry in Alexandria.

The 6 most intense peaks (5 to 70 degrees two-theta), by angle:
2θ (°)	I_rel	hkl
15.51	76	1 0 0
24.44	93	1 1 1
26.27	59	1 0 2
35.59	65	1 0 3
36.76	100	2 1 1
63.82	73	2 2 4

Crystal structure
```
data_LiAlFeO4
_chemical_formula_sum 'Li4 Al4 Fe4 O16'
_cell_length_a 5.7116
_cell_length_b 5.7116
_cell_length_c 8.4337
_cell_angle_alpha 90.00
_cell_angle_beta 90.00
_cell_angle_gamma 90.00
_symmetry_space_group_name_H-M 'P 43 2 2'
_symmetry_Int_Tables_number 95
_symmetry_space_group_name_Hall 'P 4cw 2c'
loop_
_atom_site_label
_atom_site_fract_x
_atom_site_fract_y
_atom_site_fract_z
_atom_site_occupancy
Li1 0.0000 0.2335 0.0000 1
Al1 0.2633 0.2633 0.6250 1
Fe1 0.2314 0.5000 0.2500 1
O1 0.0012 0.2649 0.2608 1
O2 0.2642 0.4863 0.0070 1
```